1.
For Tb12Tm7Pu, a structure optimized by DFT (GGA-PBE) gives the theoretical X-ray powder pattern in this record (CuKα).
Neutral-atom scattering factors, no anomalous dispersion.

Top 10 peaks for 2θ = 10–90°, in order of falling intensity:
- 30.6 deg, I 100
- 33.4 deg, I 60
- 31.5 deg, I 55
- 33.5 deg, I 54
- 27.8 deg, I 46
- 40.3 deg, I 43
- 35.5 deg, I 33
- 40.7 deg, I 32
- 48.7 deg, I 32
- 47.2 deg, I 31

Atomic structure:
```
data_Tb12Tm7Pu
_chemical_formula_sum 'Tb36 Tm21 Pu3'
_symmetry_space_group_name_H-M 'R -3 m'
_symmetry_Int_Tables_number 166
_symmetry_space_group_name_Hall '-R 3 2"'
_cell_length_a 19.2683
_cell_length_b 19.2683
_cell_length_c 6.0352
_cell_angle_alpha 90.00
_cell_angle_beta 90.00
_cell_angle_gamma 120.00
loop_
_atom_site_label
_atom_site_fract_x
_atom_site_fract_y
_atom_site_fract_z
_atom_site_occupancy
Tb1 0.0000 0.4145 0.0000 1
Tb2 0.0978 0.5489 0.4749 1
Tm1 0.0000 0.0000 0.0000 1
Tm2 0.0803 0.1606 0.3034 1
Pu1 0.0000 0.0000 0.5000 1
```

=====

2.
For La3Pd2Au9, a structure optimized by DFT (GGA-PBE) gives the theoretical X-ray powder pattern in this record (CuKα).
Neutral-atom scattering factors, no anomalous dispersion.

Top 10 peaks for 2θ = 10–90°, in order of falling intensity:
- 33.3 deg, I 100
- 41.4 deg, I 92
- 38.7 deg, I 83
- 32.7 deg, I 53
- 32.9 deg, I 47
- 35.8 deg, I 46
- 43.3 deg, I 41
- 51.5 deg, I 30
- 39.6 deg, I 29
- 65.5 deg, I 29

Atomic structure:
```
data_La3Pd2Au9
_chemical_formula_sum 'La6 Pd4 Au18'
_symmetry_space_group_name_H-M 'I m m m'
_symmetry_Int_Tables_number 71
_symmetry_space_group_name_Hall '-I 2 2'
_cell_length_a 4.655
_cell_length_b 10.057
_cell_length_c 13.057
_cell_angle_alpha 90.00
_cell_angle_beta 90.00
_cell_angle_gamma 90.00
loop_
_atom_site_label
_atom_site_fract_x
_atom_site_fract_y
_atom_site_fract_z
_atom_site_occupancy
La1 0.000 0.000 0.000 1
La2 0.000 0.000 0.305 1
Pd1 0.000 0.167 0.500 1
Au1 0.000 0.276 0.123 1
Au2 0.000 0.364 0.338 1
Au3 0.000 0.500 0.000 1
```

=====

3.
For ZrSnRh3, a structure optimized by DFT (GGA-PBE) gives the theoretical X-ray powder pattern in this record (CuKα).
Neutral-atom scattering factors, no anomalous dispersion.

Top 10 peaks for 2θ = 10–90°, in order of falling intensity:
- 37.7 deg, I 100
- 36.5 deg, I 71
- 43.3 deg, I 61
- 39.1 deg, I 50
- 35.7 deg, I 49
- 38.7 deg, I 27
- 48.3 deg, I 23
- 41.3 deg, I 22
- 48.8 deg, I 22
- 50.0 deg, I 22

Atomic structure:
```
data_ZrSnRh3
_chemical_formula_sum 'Zr8 Sn8 Rh24'
_symmetry_space_group_name_H-M 'C m c m'
_symmetry_Int_Tables_number 63
_symmetry_space_group_name_Hall '-C 2c 2'
_cell_length_a 12.433
_cell_length_b 7.708
_cell_length_c 7.463
_cell_angle_alpha 90.00
_cell_angle_beta 90.00
_cell_angle_gamma 90.00
loop_
_atom_site_label
_atom_site_fract_x
_atom_site_fract_y
_atom_site_fract_z
_atom_site_occupancy
Zr1 0.226 0.214 0.250 1
Sn1 0.000 0.094 0.250 1
Sn2 0.000 0.431 0.750 1
Rh1 0.110 0.162 0.559 1
Rh2 0.174 0.500 0.000 1
```